(1)
This entry pairs a crystal structure of Y4ScAg2 with its calculated powder diffractogram. Radiation: Cu Kα (λ = 1.5418 Å). Structure: a PBE-relaxed structure.
Kinematic intensities with the Lorentz-polarization factor, no thermal factor.

The 6 most intense peaks (2θ from 15° to 90°), sorted by position:
2θ/deg  I (rel.)
23.93  224
31.60  209
33.62  1000
34.58  392
47.18  213
60.13  175

Unit cell a=5.3310 b=5.3310 c=25.0864 alpha=90.00 beta=90.00 gamma=120.00
Space group R-3m (No. 166, hexagonal axes)
Unique sites:
Y 0.0000 0.0000 0.1280 x6
Y 0.0000 0.0000 0.2757 x6
Sc 0.0000 0.0000 0.5000 x3
Ag 0.0000 0.0000 0.3931 x6

(2)
This entry pairs a crystal structure of Sc2ZnAg2 with its calculated powder diffractogram. Radiation: Cu Kα (λ = 1.5418 Å). Structure: a PBE-relaxed structure.
Kinematic intensities with the Lorentz-polarization factor, no thermal factor.

The 6 most intense peaks (2θ from 15° to 90°), sorted by position:
2θ/deg  I (rel.)
26.43  389
36.96  810
37.08  1000
40.20  303
42.55  489
67.69  307

Unit cell a=3.595 b=16.420 c=3.372 alpha=90.00 beta=90.00 gamma=90.00
Space group Cmmm (No. 65)
Unique sites:
Sc 0.000 0.097 0.000 x4
Zn 0.000 0.500 0.500 x2
Ag 0.000 0.313 0.500 x4

(3)
This entry pairs a crystal structure of Sc3Zn8Ag with its calculated powder diffractogram. Radiation: Cu Kα (λ = 1.5418 Å). Structure: a PBE-relaxed structure.
Kinematic intensities with the Lorentz-polarization factor, no thermal factor.

The 6 most intense peaks (2θ from 15° to 90°), sorted by position:
2θ/deg  I (rel.)
20.89  122
34.44  227
40.63  1000
42.52  456
65.90  290
72.62  252

Unit cell a=5.2052 b=5.2052 c=25.5372 alpha=90.00 beta=90.00 gamma=120.00
Space group R3m (No. 160, hexagonal axes)
Unique sites:
Sc 0.0000 0.0000 0.0000 x3
Sc 0.0000 0.0000 0.1245 x3
Sc 0.0000 0.0000 0.6205 x3
Zn 0.0000 0.0000 0.3106 x3
Zn 0.0000 0.0000 0.8111 x3
Zn 0.1670 0.3341 0.8948 x9
Zn 0.1673 0.3346 0.3939 x9
Ag 0.0000 0.0000 0.4978 x3

(4)
This entry pairs a crystal structure of Sc11Zn9Ag4 with its calculated powder diffractogram. Radiation: Cu Kα (λ = 1.5418 Å). Structure: a PBE-relaxed structure.
Kinematic intensities with the Lorentz-polarization factor, no thermal factor.

The 6 most intense peaks (2θ from 15° to 90°), sorted by position:
2θ/deg  I (rel.)
26.44  217
37.36  892
37.68  1000
38.05  903
68.09  313
68.72  199

Unit cell a=13.750 b=19.908 c=3.372 alpha=90.00 beta=90.00 gamma=90.00
Space group Cmmm (No. 65)
Unique sites:
Sc 0.000 0.000 0.000 x2
Sc 0.000 0.174 0.000 x4
Sc 0.000 0.348 0.000 x4
Sc 0.237 0.000 0.000 x4
Sc 0.237 0.172 0.000 x8
Zn 0.000 0.500 0.500 x2
Zn 0.117 0.260 0.500 x8
Zn 0.118 0.086 0.500 x8
Ag 0.147 0.412 0.500 x8

(5)
This entry pairs a crystal structure of ScZn6Ag with its calculated powder diffractogram. Radiation: Cu Kα (λ = 1.5418 Å). Structure: a PBE-relaxed structure.
Kinematic intensities with the Lorentz-polarization factor, no thermal factor.

The 6 most intense peaks (2θ from 15° to 90°), sorted by position:
2θ/deg  I (rel.)
38.02  391
39.99  1000
41.73  305
43.59  203
75.02  193
81.31  151

Unit cell a=4.329 b=6.365 c=9.466 alpha=90.00 beta=90.00 gamma=90.00
Space group Amm2 (No. 38)
Unique sites:
Sc 0.000 0.000 0.000 x2
Zn 0.000 0.000 0.548 x2
Zn 0.000 0.207 0.277 x4
Zn 0.500 0.000 0.190 x2
Zn 0.500 0.211 0.465 x4
Ag 0.500 0.000 0.742 x2

(6)
This entry pairs a crystal structure of ScZn5Ag6 with its calculated powder diffractogram. Radiation: Cu Kα (λ = 1.5418 Å). Structure: a PBE-relaxed structure.
Kinematic intensities with the Lorentz-polarization factor, no thermal factor.

The 6 most intense peaks (2θ from 15° to 90°), sorted by position:
2θ/deg  I (rel.)
38.74  1000
39.00  981
40.71  439
41.44  410
52.65  192
68.61  165

Unit cell a=4.433 b=6.954 c=6.878 alpha=90.00 beta=108.14 gamma=90.00
Space group P2/m (No. 10)
Unique sites:
Sc 0.000 0.000 0.000 x1
Zn 0.000 0.500 0.000 x1
Zn 0.334 0.000 0.667 x2
Zn 0.335 0.500 0.677 x2
Ag 0.172 0.261 0.342 x4
Ag 0.500 0.259 0.000 x2

(7)
This entry pairs a crystal structure of ZrSc4Ag3 with its calculated powder diffractogram. Radiation: Cu Kα (λ = 1.5418 Å). Structure: a PBE-relaxed structure.
Kinematic intensities with the Lorentz-polarization factor, no thermal factor.

The 6 most intense peaks (2θ from 15° to 90°), sorted by position:
2θ/deg  I (rel.)
26.54  201
35.95  1000
37.89  462
54.66  150
63.32  139
67.17  289

Unit cell a=3.358 b=3.358 c=14.952 alpha=90.00 beta=90.00 gamma=90.00
Space group P4/mmm (No. 123)
Unique sites:
Zr 0.000 0.000 0.000 x1
Sc 0.500 0.500 0.142 x2
Sc 0.500 0.500 0.381 x2
Ag 0.000 0.000 0.263 x2
Ag 0.000 0.000 0.500 x1

(8)
This entry pairs a crystal structure of ZrScAg with its calculated powder diffractogram. Radiation: Cu Kα (λ = 1.5418 Å). Structure: a PBE-relaxed structure.
Kinematic intensities with the Lorentz-polarization factor, no thermal factor.

The 6 most intense peaks (2θ from 15° to 90°), sorted by position:
2θ/deg  I (rel.)
35.34  1000
39.45  183
39.66  180
43.89  132
68.90  129
69.18  128

Unit cell a=4.545 b=12.378 c=4.568 alpha=90.00 beta=90.00 gamma=90.00
Space group Cmmm (No. 65)
Unique sites:
Zr 0.000 0.167 0.000 x4
Sc 0.000 0.341 0.500 x4
Ag 0.000 0.000 0.500 x2
Ag 0.000 0.500 0.000 x2

(9)
This entry pairs a crystal structure of Zr2ScAg6 with its calculated powder diffractogram. Radiation: Cu Kα (λ = 1.5418 Å). Structure: a PBE-relaxed structure.
Kinematic intensities with the Lorentz-polarization factor, no thermal factor.

The 6 most intense peaks (2θ from 15° to 90°), sorted by position:
2θ/deg  I (rel.)
37.51  1000
37.85  763
49.32  213
54.34  255
67.90  252
76.85  222

Unit cell a=8.3065 b=8.3065 c=8.6971 alpha=90.00 beta=90.00 gamma=120.00
Space group R-3m (No. 166, hexagonal axes)
Unique sites:
Zr 0.0000 0.0000 0.1601 x6
Sc 0.0000 0.0000 0.5000 x3
Ag 0.0000 0.3341 0.0000 x18

(10)
This entry pairs a crystal structure of Ag3Se2 with its calculated powder diffractogram. Radiation: Cu Kα (λ = 1.5418 Å). Structure: a PBE-relaxed structure.
Kinematic intensities with the Lorentz-polarization factor, no thermal factor.

The 6 most intense peaks (2θ from 15° to 90°), sorted by position:
2θ/deg  I (rel.)
18.03  675
30.17  791
30.43  774
30.89  1000
31.23  900
36.52  729

Unit cell a=11.637 b=6.818 c=7.116 alpha=90.00 beta=125.55 gamma=90.00
Space group C2/c (No. 15)
Unique sites:
Ag 0.000 0.002 0.250 x4
Ag 0.132 0.377 0.268 x8
Se 0.125 0.252 0.637 x8

(11)
This entry pairs a crystal structure of AgSe5 with its calculated powder diffractogram. Radiation: Cu Kα (λ = 1.5418 Å). Structure: a PBE-relaxed structure.
Kinematic intensities with the Lorentz-polarization factor, no thermal factor.

The 6 most intense peaks (2θ from 15° to 90°), sorted by position:
2θ/deg  I (rel.)
21.31  569
26.06  284
32.54  265
33.38  1000
43.98  236
46.14  247

Unit cell a=12.783 b=3.651 c=7.011 alpha=90.00 beta=102.78 gamma=90.00
Space group Cm (No. 8)
Unique sites:
Ag 0.000 0.000 0.000 x2
Se 0.023 0.500 0.532 x2
Se 0.110 0.500 0.867 x2
Se 0.176 0.000 0.428 x2
Se 0.300 0.500 0.364 x2
Se 0.382 0.000 0.098 x2

(12)
This entry pairs a crystal structure of Ag3Se with its calculated powder diffractogram. Radiation: Cu Kα (λ = 1.5418 Å). Structure: a PBE-relaxed structure.
Kinematic intensities with the Lorentz-polarization factor, no thermal factor.

The 6 most intense peaks (2θ from 15° to 90°), sorted by position:
2θ/deg  I (rel.)
34.54  271
37.32  402
38.75  568
39.42  1000
68.71  181
73.68  199

Unit cell a=4.819 b=5.956 c=5.304 alpha=90.00 beta=90.00 gamma=90.00
Space group Pmmn (No. 59, origin choice 2)
Unique sites:
Ag 0.250 0.001 0.159 x4
Ag 0.250 0.250 0.672 x2
Se 0.250 0.750 0.661 x2